# 1
# GeBr2
Calculated X-ray diffraction stick pattern, Cu Kα, 1.54184 Å. Input: the PBE geometry in the Materials Project.
Intensities are scaled so that the largest is 100.

Atomic structure:
Lattice parameters (Å, degrees): 6.7548 6.7548 4.1300 90.00 90.00 90.00
Space group P4_2/mnm (No. 136)
Unique sites:
Ge 0.0000 0.0000 0.0000 (multiplicity 2)
Br 0.2025 0.2025 0.5000 (multiplicity 4)

Principal peaks in the range 5° ≤ 2θ ≤ 70°, sorted by position:
2θ (°), intensity, (hkl)
18.58, 51, 1 1 0
28.57, 100, 1 1 1
29.57, 32, 2 1 0
36.86, 59, 2 1 1
37.67, 37, 2 2 0
43.83, 23, 0 0 2
45.90, 49, 3 0 1
47.96, 28, 3 1 1
56.14, 14, 4 1 0
59.15, 19, 2 2 2

***

# 2
# KGeBr3
Calculated X-ray diffraction stick pattern, Cu Kα, 1.54184 Å. Input: the PBE geometry in the Materials Project.
Intensities are scaled so that the largest is 100.

Atomic structure:
Lattice parameters (Å, degrees): 7.9797 7.8745 5.5920 90.00 91.36 90.00
Space group Cm (No. 8)
Unique sites:
K 0.0000 0.0000 0.0000 (multiplicity 2)
Ge 0.0198 0.5000 0.4672 (multiplicity 2)
Br 0.2418 0.2582 0.4870 (multiplicity 4)
Br 0.4924 0.0000 0.9998 (multiplicity 2)

Principal peaks in the range 5° ≤ 2θ ≤ 70°, sorted by position:
2θ (°), intensity, (hkl)
15.83, 59, 0 0 1
27.15, 20, 2 0 -1
27.74, 52, 2 0 1
31.97, 100, 0 0 2
35.63, 15, 2 2 -1
45.46, 34, 4 0 0
46.11, 12, 0 4 0
46.26, 23, 2 2 2
54.46, 10, 4 2 1
57.24, 12, 0 4 2

***

# 3
# KGeBr3
Calculated X-ray diffraction stick pattern, Cu Kα, 1.54184 Å. Input: the PBE geometry in the Materials Project.
Intensities are scaled so that the largest is 100.

Atomic structure:
Lattice parameters (Å, degrees): 5.9876 7.6457 8.6236 90.00 110.25 90.00
Space group P2_1/m (No. 11)
Unique sites:
K 0.1607 0.2500 0.3140 (multiplicity 2)
Ge 0.4054 0.2500 0.8816 (multiplicity 2)
Br 0.0096 0.7500 0.1048 (multiplicity 2)
Br 0.3340 0.9999 0.6765 (multiplicity 4)

Principal peaks in the range 5° ≤ 2θ ≤ 70°, sorted by position:
2θ (°), intensity, (hkl)
15.95, 29, 0 1 1
22.18, 66, 1 0 1
24.90, 89, 0 1 2
25.78, 75, 0 2 1
28.24, 51, 1 2 0
29.84, 97, 2 0 -1
32.37, 100, 1 2 -2
39.25, 42, 2 1 -3
39.83, 39, 2 2 0
57.18, 29, 2 4 -1